No. 1
For Sr5S4O, a cell relaxed with GGA-PBE gives the theoretical powder XRD pattern in this record (Cu Kα X-rays).
Lines closer than 0.1° are merged.

a = 7.232 Å, b = 7.232 Å, c = 7.232 Å
α = 99.97°, β = 99.97°, γ = 130.83°
Sites, in units of the cell vectors:
Sr 0.000 0.000 0.000
Sr 0.173 0.362 0.629
Sr 0.362 0.733 0.189
Sr 0.544 0.173 0.811
Sr 0.733 0.544 0.371
S 0.047 0.652 0.797
S 0.250 0.047 0.395
S 0.652 0.854 0.605
S 0.854 0.250 0.203
O 0.410 0.410 0.000

Main lines, sorted by position (2θ from 10° to 90°):
26.04 deg, rel. 69; 29.69 deg, rel. 52; 30.39 deg, rel. 100; 43.00 deg, rel. 71; 43.52 deg, rel. 33; 53.56 deg, rel. 33



No. 2
For Sr2S2O7, a cell relaxed with GGA-PBE gives the theoretical powder XRD pattern in this record (Cu Kα X-rays).
Lines closer than 0.1° are merged.

a = 6.110 Å, b = 6.110 Å, c = 4.991 Å
α = 104.73°, β = 104.73°, γ = 91.96°
Sites, in units of the cell vectors:
Sr 0.225 0.775 0.000
Sr 0.775 0.225 0.000
S 0.252 0.252 0.630
S 0.744 0.744 0.381
O 0.061 0.343 0.746
O 0.170 0.170 0.310
O 0.343 0.061 0.746
O 0.440 0.440 0.726
O 0.653 0.938 0.250
O 0.861 0.861 0.700
O 0.938 0.653 0.250

Main lines, sorted by position (2θ from 10° to 90°):
19.11 deg, rel. 29; 23.63 deg, rel. 79; 27.95 deg, rel. 100; 30.42 deg, rel. 74; 34.77 deg, rel. 26; 47.94 deg, rel. 28



No. 3
For SrS3O9, a cell relaxed with GGA-PBE gives the theoretical powder XRD pattern in this record (Cu Kα X-rays).
Lines closer than 0.1° are merged.

a = 7.473 Å, b = 7.538 Å, c = 8.302 Å
α = 90.00°, β = 112.07°, γ = 90.00°
Sites, in units of the cell vectors:
Sr 0.006 0.000 0.335
Sr 0.994 0.500 0.665
S 0.118 0.994 0.758
S 0.221 0.391 0.162
S 0.482 0.858 0.258
S 0.518 0.358 0.742
S 0.779 0.891 0.838
S 0.882 0.494 0.242
O 0.095 0.836 0.645
O 0.096 0.534 0.239
O 0.135 0.413 0.974
O 0.138 0.153 0.662
O 0.184 0.218 0.220
O 0.254 0.974 0.933
O 0.338 0.874 0.335
O 0.360 0.485 0.680
O 0.413 0.460 0.245
O 0.587 0.960 0.755
O 0.640 0.985 0.320
O 0.662 0.374 0.665
O 0.746 0.474 0.067
O 0.816 0.718 0.780
O 0.862 0.653 0.338
O 0.865 0.913 0.026
O 0.904 0.034 0.761
O 0.905 0.336 0.355

Main lines, sorted by position (2θ from 10° to 90°):
12.78 deg, rel. 100; 23.12 deg, rel. 72; 23.61 deg, rel. 78; 26.00 deg, rel. 53; 26.70 deg, rel. 59; 26.93 deg, rel. 33



No. 4
For SrSO3, a cell relaxed with GGA-PBE gives the theoretical powder XRD pattern in this record (Cu Kα X-rays).
Lines closer than 0.1° are merged.

a = 8.853 Å, b = 4.503 Å, c = 4.503 Å
α = 111.73°, β = 90.00°, γ = 90.00°
Sites, in units of the cell vectors:
Sr 0.000 0.000 0.000
Sr 0.500 0.000 0.000
S 0.250 0.604 0.451
S 0.750 0.451 0.604
O 0.108 0.788 0.415
O 0.250 0.296 0.147
O 0.392 0.788 0.415
O 0.608 0.415 0.788
O 0.750 0.147 0.296
O 0.892 0.415 0.788

Main lines, sorted by position (2θ from 10° to 90°):
21.24 deg, rel. 21; 23.87 deg, rel. 29; 25.94 deg, rel. 18; 29.38 deg, rel. 100; 40.45 deg, rel. 20; 45.55 deg, rel. 21



No. 5
For Sr2TiS3O, a cell relaxed with GGA-PBE gives the theoretical powder XRD pattern in this record (Cu Kα X-rays).
Lines closer than 0.1° are merged.

a = 8.374 Å, b = 8.374 Å, c = 8.374 Å
α = 152.98°, β = 146.75°, γ = 43.35°
Sites, in units of the cell vectors:
Sr 0.146 0.146 0.000
Sr 0.854 0.854 0.000
Ti 0.500 0.500 0.000
S 0.000 0.500 0.500
S 0.338 0.338 0.000
S 0.662 0.662 0.000
O 0.500 0.000 0.500

Main lines, sorted by position (2θ from 10° to 90°):
25.30 deg, rel. 34; 28.58 deg, rel. 40; 29.48 deg, rel. 85; 34.58 deg, rel. 39; 37.59 deg, rel. 100; 46.06 deg, rel. 29



No. 6
For SrZnS2O8, a cell relaxed with GGA-PBE gives the theoretical powder XRD pattern in this record (Cu Kα X-rays).
Lines closer than 0.1° are merged.

a = 7.798 Å, b = 7.798 Å, c = 7.798 Å
α = 36.19°, β = 36.19°, γ = 36.19°
Sites, in units of the cell vectors:
Sr 0.000 0.000 0.000
Zn 0.500 0.500 0.500
S 0.246 0.246 0.246
S 0.754 0.754 0.754
O 0.071 0.767 0.485
O 0.233 0.515 0.929
O 0.315 0.315 0.315
O 0.485 0.071 0.767
O 0.515 0.929 0.233
O 0.685 0.685 0.685
O 0.767 0.485 0.071
O 0.929 0.233 0.515

Main lines, sorted by position (2θ from 10° to 90°):
26.80 deg, rel. 100; 37.11 deg, rel. 38; 39.38 deg, rel. 23; 44.96 deg, rel. 21; 46.38 deg, rel. 15; 63.99 deg, rel. 17



No. 7
For SrZrS2O8, a cell relaxed with GGA-PBE gives the theoretical powder XRD pattern in this record (Cu Kα X-rays).
Lines closer than 0.1° are merged.

a = 5.199 Å, b = 5.199 Å, c = 7.666 Å
α = 90.00°, β = 90.00°, γ = 120.00°
Sites, in units of the cell vectors:
Sr 0.000 0.000 0.000
Zr 0.000 0.000 0.500
S 0.333 0.667 0.779
S 0.667 0.333 0.221
O 0.175 0.353 0.717
O 0.178 0.825 0.717
O 0.333 0.667 0.972
O 0.353 0.178 0.283
O 0.647 0.822 0.717
O 0.667 0.333 0.028
O 0.822 0.175 0.283
O 0.825 0.647 0.283

Main lines, sorted by position (2θ from 10° to 90°):
19.72 deg, rel. 81; 22.91 deg, rel. 66; 30.63 deg, rel. 100; 34.50 deg, rel. 63; 42.00 deg, rel. 38; 46.80 deg, rel. 51



No. 8
For YTa2SO, a cell relaxed with GGA-PBE gives the theoretical powder XRD pattern in this record (Cu Kα X-rays).
Lines closer than 0.1° are merged.

a = 5.387 Å, b = 5.387 Å, c = 4.098 Å
α = 90.00°, β = 90.00°, γ = 90.00°
Sites, in units of the cell vectors:
Y 0.000 0.000 0.000
Ta 0.000 0.500 0.000
Ta 0.500 0.000 0.000
S 0.500 0.500 0.500
O 0.000 0.000 0.500

Main lines, sorted by position (2θ from 10° to 90°):
21.69 deg, rel. 92; 23.35 deg, rel. 43; 32.08 deg, rel. 89; 33.26 deg, rel. 100; 40.06 deg, rel. 78; 56.43 deg, rel. 43



No. 9
For Tb4S3O, a cell relaxed with GGA-PBE gives the theoretical powder XRD pattern in this record (Cu Kα X-rays).
Lines closer than 0.1° are merged.

a = 5.420 Å, b = 5.420 Å, c = 5.420 Å
α = 90.00°, β = 90.00°, γ = 90.00°
Sites, in units of the cell vectors:
Tb 0.000 0.000 0.000
Tb 0.000 0.500 0.500
Tb 0.500 0.000 0.500
Tb 0.500 0.500 0.000
S 0.000 0.000 0.500
S 0.000 0.500 0.000
S 0.500 0.000 0.000
O 0.500 0.500 0.500

Main lines, sorted by position (2θ from 10° to 90°):
28.53 deg, rel. 91; 33.06 deg, rel. 100; 47.45 deg, rel. 71; 56.30 deg, rel. 44; 79.01 deg, rel. 32; 88.35 deg, rel. 25



No. 10
For Tb3S2O2, a cell relaxed with GGA-PBE gives the theoretical powder XRD pattern in this record (Cu Kα X-rays).
Lines closer than 0.1° are merged.

a = 6.598 Å, b = 6.598 Å, c = 6.454 Å
α = 115.63°, β = 115.63°, γ = 33.56°
Sites, in units of the cell vectors:
Tb 0.000 0.000 0.000
Tb 0.221 0.221 0.701
Tb 0.779 0.779 0.299
S 0.401 0.401 0.172
S 0.599 0.599 0.828
O 0.181 0.181 0.325
O 0.819 0.819 0.675

Main lines, sorted by position (2θ from 10° to 90°):
26.67 deg, rel. 46; 27.70 deg, rel. 38; 31.09 deg, rel. 48; 32.04 deg, rel. 100; 37.02 deg, rel. 24; 46.83 deg, rel. 29



No. 11
For TcS2O8, a cell relaxed with GGA-PBE gives the theoretical powder XRD pattern in this record (Cu Kα X-rays).
Lines closer than 0.1° are merged.

a = 7.611 Å, b = 7.611 Å, c = 9.232 Å
α = 120.90°, β = 120.90°, γ = 57.48°
Sites, in units of the cell vectors:
Tc 0.030 0.970 0.750
Tc 0.970 0.030 0.250
S 0.142 0.680 0.453
S 0.320 0.858 0.047
S 0.680 0.142 0.953
S 0.858 0.320 0.547
O 0.076 0.220 0.510
O 0.099 0.749 0.308
O 0.185 0.733 0.866
O 0.220 0.076 0.010
O 0.249 0.448 0.412
O 0.251 0.901 0.192
O 0.267 0.815 0.634
O 0.448 0.249 0.912
O 0.552 0.751 0.088
O 0.733 0.185 0.366
O 0.749 0.099 0.808
O 0.751 0.552 0.588
O 0.780 0.924 0.990
O 0.815 0.267 0.134
O 0.901 0.251 0.692
O 0.924 0.780 0.490

Main lines, sorted by position (2θ from 10° to 90°):
14.61 deg, rel. 100; 15.50 deg, rel. 17; 16.39 deg, rel. 61; 23.52 deg, rel. 48; 25.22 deg, rel. 18; 31.29 deg, rel. 24



No. 12
For TeSO4, a cell relaxed with GGA-PBE gives the theoretical powder XRD pattern in this record (Cu Kα X-rays).
Lines closer than 0.1° are merged.

a = 5.984 Å, b = 6.074 Å, c = 7.453 Å
α = 90.00°, β = 90.00°, γ = 90.00°
Sites, in units of the cell vectors:
Te 0.000 0.000 0.000
Te 0.000 0.500 0.500
S 0.000 0.000 0.500
S 0.500 0.000 0.000
O 0.140 0.151 0.387
O 0.140 0.849 0.613
O 0.347 0.141 0.889
O 0.347 0.859 0.111
O 0.653 0.141 0.111
O 0.653 0.859 0.889
O 0.860 0.151 0.613
O 0.860 0.849 0.387

Main lines, sorted by position (2θ from 10° to 90°):
14.58 deg, rel. 38; 14.81 deg, rel. 88; 18.85 deg, rel. 100; 23.88 deg, rel. 52; 28.21 deg, rel. 36; 35.55 deg, rel. 40



No. 13
For Yb2ZnTe2S2O14, a cell relaxed with GGA-PBE gives the theoretical powder XRD pattern in this record (Cu Kα X-rays).
Lines closer than 0.1° are merged.

a = 5.495 Å, b = 8.179 Å, c = 8.315 Å
α = 113.25°, β = 107.84°, γ = 96.01°
Sites, in units of the cell vectors:
Yb 0.164 0.228 0.019
Yb 0.836 0.772 0.981
Zn 0.500 0.500 0.500
Te 0.122 0.757 0.646
Te 0.878 0.243 0.354
S 0.423 0.722 0.233
S 0.577 0.278 0.767
O 0.105 0.435 0.350
O 0.121 0.916 0.885
O 0.210 0.820 0.238
O 0.302 0.530 0.080
O 0.375 0.182 0.808
O 0.447 0.276 0.581
O 0.448 0.698 0.734
O 0.552 0.302 0.266
O 0.553 0.724 0.419
O 0.625 0.818 0.192
O 0.698 0.470 0.920
O 0.790 0.180 0.762
O 0.879 0.084 0.115
O 0.895 0.565 0.650

Main lines, sorted by position (2θ from 10° to 90°):
12.96 deg, rel. 70; 23.17 deg, rel. 100; 24.52 deg, rel. 79; 30.54 deg, rel. 41; 32.44 deg, rel. 55; 35.46 deg, rel. 52